[1]
Diffraction record for CsB6I6. The powder diffractogram is calculated, not measured: it uses a GGA-PBE-relaxed structure and a wavelength of 1.5418 Å.
No peak broadening, texture or thermal motion is included.

The 8 most intense peaks (2θ from 10° to 90°), in order of falling intensity:
2θ (°)	intensity	hkl
26.19	100.0	1 1 12
26.71	56.5	3 -2 5
25.41	42.2	3 -1 1
10.07	33.6	0 0 6
28.76	28.0	1 2 8
29.22	27.7	0 2 13
34.84	27.5	1 1 18
28.00	26.2	3 -1 7

Atomic structure:
Unit cell a=10.7379 b=10.7379 c=52.8320 alpha=90.00 beta=90.00 gamma=120.00
Space group R-3 (No. 148, hexagonal axes)
Asymmetric unit:
Cs1 0.0000 0.0000 0.1262 x6
Cs2 0.0000 0.0000 0.2926 x6
B1 0.0229 0.9169 0.5257 x18
B2 0.0290 0.1078 0.9744 x18
B3 0.0373 0.8664 0.4939 x18
B4 0.0467 0.1743 0.0061 x18
I1 0.0280 0.2775 0.1812 x18
I2 0.0418 0.7704 0.6519 x18
I3 0.0514 0.8108 0.5586 x18
I4 0.0635 0.2441 0.9414 x18

[2]
Diffraction record for LiCa2Sb4Pd3. The powder diffractogram is calculated, not measured: it uses a GGA-PBE-relaxed structure and a wavelength of 1.5418 Å.
No peak broadening, texture or thermal motion is included.

The 8 most intense peaks (2θ from 10° to 90°), in order of falling intensity:
2θ (°)	intensity	hkl
32.10	100.0	1 1 2
42.68	99.5	1 1 4
39.75	93.4	2 0 0
21.11	91.4	1 0 1
30.88	61.9	1 0 3
44.85	38.5	1 0 5
74.17	38.2	3 1 4
57.48	30.8	2 2 0

Atomic structure:
Unit cell a=4.535 b=4.535 c=11.287 alpha=90.00 beta=90.00 gamma=90.00
Space group P-4m2 (No. 115)
Asymmetric unit:
Li1 0.000 0.000 0.000 x1
Ca1 0.000 0.500 0.763 x2
Sb1 0.000 0.000 0.500 x1
Sb2 0.000 0.500 0.134 x2
Sb3 0.500 0.500 0.500 x1
Pd1 0.000 0.500 0.367 x2
Pd2 0.500 0.500 0.000 x1